This entry pairs a crystal structure of Zr6GaHg5 with its simulated XRD peak list. Radiation: Cu Kα (λ = 1.5418 Å). Structure: a PBE-relaxed structure.

Principal peaks in the range 2θ from 5° to 70°, in order of falling intensity:
2.534 Å, rel. 1000
2.242 Å, rel. 354
1.536 Å, rel. 215
2.108 Å, rel. 146
1.345 Å, rel. 136
1.585 Å, rel. 122
3.171 Å, rel. 88
4.217 Å, rel. 85
1.980 Å, rel. 51
1.756 Å, rel. 37

Atomic structure:
Cell: 8.2521 8.2521 8.2521 Å, 148.49 118.54 70.71°
Fractional coordinates of all 12 atoms:
Zr1 0.0804 0.3355 0.7449
Zr2 0.2401 0.0000 0.2401
Zr3 0.4095 0.6645 0.7449
Zr4 0.5905 0.3355 0.2551
Zr5 0.7599 0.0000 0.7599
Zr6 0.9196 0.6645 0.2551
Ga1 0.0000 0.5000 0.5000
Hg1 0.1694 0.1694 0.0000
Hg2 0.3360 0.8360 0.5000
Hg3 0.5000 0.5000 0.0000
Hg4 0.6640 0.1640 0.5000
Hg5 0.8306 0.8306 0.0000